No. 1
Simulated PXRD pattern of ZnAsS3 for Cu Kα, from a DFT-relaxed cell (PBE, Alexandria).
Lines closer than 0.1° are merged.

Cell: 6.2195 3.5509 10.2592 Å, 90.00 97.69 90.00°
Space group P2_1/m (No. 11)
Asymmetric unit:
1 Zn 0.0273 0.2500 0.2493 (multiplicity 2)
2 As 0.4196 0.2500 0.8222 (multiplicity 2)
3 S 0.1353 0.2500 0.6526 (multiplicity 2)
4 S 0.2389 0.7500 0.9469 (multiplicity 2)
5 S 0.3976 0.2500 0.2919 (multiplicity 2)

Peak list (10 most intense, 2θ from 10° to 80°, most intense first)
2θ (°)	Rel. int.	h k l
17.4	1000	0 0 2
33.0	708	1 1 -2
29.8	453	1 1 -1
36.0	432	2 0 2
51.4	411	0 2 0
15.8	325	1 0 -1
45.0	244	2 1 -3
29.0	224	2 0 0
51.8	224	0 1 5
31.8	198	1 0 3

***

No. 2
Simulated PXRD pattern of SbAs2 for Cu Kα, from a DFT-relaxed cell (PBE, Alexandria).
Lines closer than 0.1° are merged.

Cell: 4.0696 4.0696 4.8993 Å, 90.00 90.00 120.00°
Space group P-3m1 (No. 164)
Asymmetric unit:
1 Sb 0.0000 0.0000 0.0000 (multiplicity 1)
2 As 0.3333 0.6667 0.3458 (multiplicity 2)

Peak list (10 most intense, 2θ from 10° to 80°, most intense first)
2θ (°)	Rel. int.	h k l
31.3	1000	0 1 1
44.5	360	1 1 0
45.1	345	1 0 2
55.4	193	2 0 1
73.7	163	1 2 1
74.5	149	1 1 3
65.2	112	0 2 2
56.3	57	0 0 3
25.3	41	1 0 0
18.1	17	0 0 1

***

No. 3
Simulated PXRD pattern of Sb6As7 for Cu Kα, from a DFT-relaxed cell (PBE, Alexandria).
Lines closer than 0.1° are merged.

Cell: 6.8239 6.8239 25.4158 Å, 90.00 90.00 120.00°
Space group R-3m (No. 166, hexagonal axes)
Asymmetric unit:
1 Sb 0.0000 0.0000 0.0616 (multiplicity 6)
2 Sb 0.0000 0.0000 0.1837 (multiplicity 6)
3 Sb 0.0000 0.0000 0.3213 (multiplicity 6)
4 As 0.0000 0.0000 0.5000 (multiplicity 3)
5 As 0.0305 0.5153 0.0833 (multiplicity 18)

Peak list (10 most intense, 2θ from 10° to 80°, most intense first)
2θ (°)	Rel. int.	h k l
26.1	1000	1 1 0
33.7	509	1 1 6
32.0	476	0 1 8
41.7	463	2 0 8
53.7	452	2 2 0
30.5	429	0 2 1
39.3	419	0 2 7
35.1	295	2 0 5
46.1	196	3 0 0
73.1	182	2 1 16

***

No. 4
Simulated PXRD pattern of Sc10Sb3As3 for Cu Kα, from a DFT-relaxed cell (PBE, Alexandria).
Lines closer than 0.1° are merged.

Cell: 8.2284 8.2284 5.8110 Å, 90.00 90.00 120.00°
Space group P-62m (No. 189)
Asymmetric unit:
1 Sc 0.0000 0.2468 0.0000 (multiplicity 3)
2 Sc 0.0000 0.7545 0.5000 (multiplicity 3)
3 Sc 0.3333 0.6667 0.2418 (multiplicity 4)
4 Sb 0.0000 0.3910 0.5000 (multiplicity 3)
5 As 0.0000 0.6179 0.0000 (multiplicity 3)

Peak list (10 most intense, 2θ from 10° to 80°, most intense first)
2θ (°)	Rel. int.	h k l
37.9	1000	3 0 0
36.8	748	2 1 1
26.5	406	1 1 1
30.8	273	0 0 2
48.7	242	3 1 1
58.7	235	2 1 3
74.1	180	5 0 2
21.6	162	1 1 0
65.5	147	5 0 0
12.4	147	1 0 0

***

No. 5
Simulated PXRD pattern of TmScSbAs for Cu Kα, from a DFT-relaxed cell (PBE, Alexandria).
Lines closer than 0.1° are merged.

Cell: 4.0716 4.0716 20.7807 Å, 90.00 90.00 120.00°
Space group R3m (No. 160, hexagonal axes)
Asymmetric unit:
1 Tm 0.0000 0.0000 0.0000 (multiplicity 3)
2 Sc 0.0000 0.0000 0.8176 (multiplicity 3)
3 Sb 0.0000 0.0000 0.2372 (multiplicity 3)
4 As 0.0000 0.0000 0.4143 (multiplicity 3)

Peak list (10 most intense, 2θ from 10° to 80°, most intense first)
2θ (°)	Rel. int.	h k l
33.3	1000	0 1 5
44.5	564	1 1 0
30.6	545	1 0 4
25.6	466	1 0 1
39.7	288	1 0 7
12.8	237	0 0 3
56.7	213	2 0 5
71.5	212	1 1 12
74.8	186	1 2 5
43.3	136	0 1 8

***

No. 6
Simulated PXRD pattern of Sb3AsSe3 for Cu Kα, from a DFT-relaxed cell (PBE, Alexandria).
Lines closer than 0.1° are merged.

Cell: 11.5165 11.6777 5.8542 Å, 90.00 90.00 90.00°
Space group Cmcm (No. 63)
Asymmetric unit:
1 Sb 0.0000 0.1590 0.2500 (multiplicity 4)
2 Sb 0.2423 0.3768 0.2500 (multiplicity 8)
3 As 0.0000 0.3937 0.2500 (multiplicity 4)
4 Se 0.0000 0.1258 0.7500 (multiplicity 4)
5 Se 0.2474 0.3637 0.7500 (multiplicity 8)

Peak list (10 most intense, 2θ from 10° to 80°, most intense first)
2θ (°)	Rel. int.	h k l
30.6	1000	0 0 2
44.1	707	4 0 2
31.1	514	4 0 0
54.7	340	4 4 2
43.8	336	0 4 2
18.6	157	1 1 1
73.3	147	8 0 2
21.5	95	0 2 1
15.4	93	2 0 0
72.4	87	4 0 4